[1]
Diffraction record for CeSc5. The X-ray powder pattern is simulated, not measured: it uses a cell relaxed with GGA-PBE and Cu Kα X-rays.

Structural model:
```
CeSc5
1.0
2.8887 1.6678 5.2420
-2.8887 1.6678 5.2420
0.0000 -3.3356 5.2420
Ce Sc
1 5
direct
0.0000 0.0000 0.0000
0.1623 0.8377 0.5000
0.3333 0.3333 0.3333
0.5000 0.1623 0.8377
0.6667 0.6667 0.6667
0.8377 0.5000 0.1623
```

Top 10 peaks for 2θ = 15–90°, in order of falling intensity:
| two_theta | d [Å] | I/Imax |
| --- | --- | --- |
| 35.48 | 2.530 | 100 |
| 30.96 | 2.889 | 29 |
| 34.21 | 2.621 | 24 |
| 18.61 | 4.768 | 22 |
| 66.44 | 1.407 | 19 |
| 62.08 | 1.495 | 18 |
| 46.80 | 1.941 | 17 |
| 55.06 | 1.668 | 17 |
| 21.05 | 4.221 | 15 |
| 67.23 | 1.392 | 14 |

[2]
Diffraction record for Ce3Sc2. The X-ray powder pattern is simulated, not measured: it uses a cell relaxed with GGA-PBE and Cu Kα X-rays.

Structural model:
```
Ce3Sc2
1.0
1.6637 0.9606 13.4771
-1.6637 0.9606 13.4771
0.0000 -1.9211 13.4771
Ce Sc
3 2
direct
0.0000 0.0000 0.0000
0.4003 0.4003 0.4003
0.5997 0.5997 0.5997
0.1992 0.1992 0.1992
0.8008 0.8008 0.8008
```

Top 10 peaks for 2θ = 15–90°, in order of falling intensity:
| two_theta | d [Å] | I/Imax |
| --- | --- | --- |
| 33.00 | 2.714 | 100 |
| 38.36 | 2.347 | 66 |
| 33.24 | 2.695 | 33 |
| 65.99 | 1.416 | 26 |
| 55.21 | 1.664 | 22 |
| 55.53 | 1.655 | 22 |
| 65.84 | 1.418 | 13 |
| 66.27 | 1.410 | 13 |
| 69.22 | 1.357 | 11 |
| 31.36 | 2.853 | 10 |

[3]
Diffraction record for Ce3Sc4. The X-ray powder pattern is simulated, not measured: it uses a cell relaxed with GGA-PBE and Cu Kα X-rays.

Structural model:
```
Ce3Sc4
1.0
-1.6502 1.6502 16.5474
1.6502 -1.6502 16.5474
1.6502 1.6502 -16.5474
Ce Sc
3 4
direct
0.0000 0.0000 0.0000
0.2848 0.2848 0.0000
0.7152 0.7152 0.0000
0.1430 0.1430 0.0000
0.4277 0.4277 0.0000
0.5723 0.5723 0.0000
0.8570 0.8570 0.0000
```

Top 10 peaks for 2θ = 15–90°, in order of falling intensity:
| two_theta | d [Å] | I/Imax |
| --- | --- | --- |
| 33.10 | 2.706 | 100 |
| 38.58 | 2.334 | 33 |
| 66.35 | 1.409 | 25 |
| 55.32 | 1.661 | 22 |
| 28.22 | 3.162 | 18 |
| 38.07 | 2.364 | 17 |
| 65.65 | 1.422 | 13 |
| 69.46 | 1.353 | 11 |
| 55.70 | 1.650 | 11 |
| 40.57 | 2.223 | 8 |

[4]
Diffraction record for CeSc5. The X-ray powder pattern is simulated, not measured: it uses a cell relaxed with GGA-PBE and Cu Kα X-rays.

Structural model:
```
CeSc5
1.0
5.2536 0.0000 0.0000
-2.6268 4.5497 0.0000
0.0000 0.0000 6.3080
Ce Sc
1 5
direct
0.0000 0.0000 0.0000
0.0000 0.0000 0.5000
0.3333 0.6667 0.2561
0.3333 0.6667 0.7460
0.6667 0.3333 0.2540
0.6667 0.3333 0.7439
```

Top 10 peaks for 2θ = 15–90°, in order of falling intensity:
| two_theta | d [Å] | I/Imax |
| --- | --- | --- |
| 34.60 | 2.592 | 100 |
| 34.13 | 2.627 | 92 |
| 61.41 | 1.510 | 35 |
| 49.40 | 1.845 | 35 |
| 24.12 | 3.690 | 31 |
| 19.51 | 4.550 | 24 |
| 69.53 | 1.352 | 20 |
| 61.11 | 1.517 | 15 |
| 82.30 | 1.172 | 15 |
| 89.70 | 1.093 | 10 |

[5]
Diffraction record for Ce4ScSe6. The X-ray powder pattern is simulated, not measured: it uses a cell relaxed with GGA-PBE and Cu Kα X-rays.

Structural model:
```
Ce4ScSe6
1.0
5.8631 3.3851 4.6892
-5.8631 3.3851 4.6892
0.0000 -6.7701 4.6892
Ce Sc Se
8 2 12
direct
0.1328 0.7500 0.3672
0.2500 0.2500 0.2500
0.2500 0.6328 0.8672
0.3672 0.1328 0.7500
0.6328 0.8672 0.2500
0.7500 0.3672 0.1328
0.7500 0.7500 0.7500
0.8672 0.2500 0.6328
0.0000 0.0000 0.0000
0.5000 0.5000 0.5000
0.0598 0.9192 0.6884
0.0808 0.3116 0.9402
0.1884 0.4192 0.5598
0.3116 0.9402 0.0808
0.4192 0.5598 0.1884
0.4402 0.8116 0.5808
0.5598 0.1884 0.4192
0.5808 0.4402 0.8116
0.6884 0.0598 0.9192
0.8116 0.5808 0.4402
0.9192 0.6884 0.0598
0.9402 0.0808 0.3116
```

Top 10 peaks for 2θ = 15–90°, in order of falling intensity:
| two_theta | d [Å] | I/Imax |
| --- | --- | --- |
| 36.13 | 2.486 | 100 |
| 32.42 | 2.762 | 84 |
| 34.59 | 2.593 | 55 |
| 26.33 | 3.385 | 42 |
| 40.77 | 2.213 | 37 |
| 30.93 | 2.891 | 35 |
| 46.77 | 1.942 | 32 |
| 26.45 | 3.369 | 30 |
| 24.31 | 3.662 | 29 |
| 65.72 | 1.421 | 29 |

[6]
Diffraction record for CeSc4Se6. The X-ray powder pattern is simulated, not measured: it uses a cell relaxed with GGA-PBE and Cu Kα X-rays.

Structural model:
```
CeSc4Se6
1.0
1.9563 -6.3879 0.0000
1.9563 6.3879 0.0000
0.0000 0.0000 19.8923
Ce Sc Se
2 8 12
direct
0.1555 0.8445 0.7500
0.8445 0.1555 0.2500
0.0928 0.9072 0.1236
0.0928 0.9072 0.3764
0.3574 0.6426 0.0379
0.3574 0.6426 0.4621
0.6426 0.3574 0.5379
0.6426 0.3574 0.9621
0.9072 0.0928 0.6236
0.9072 0.0928 0.8764
0.0000 0.0000 0.0000
0.0000 0.0000 0.5000
0.1729 0.8271 0.2500
0.2673 0.7327 0.5890
0.2673 0.7327 0.9110
0.4561 0.5439 0.1603
0.4561 0.5439 0.3397
0.5439 0.4561 0.6603
0.5439 0.4561 0.8397
0.7327 0.2673 0.0890
0.7327 0.2673 0.4110
0.8271 0.1729 0.7500
```

Top 10 peaks for 2θ = 15–90°, in order of falling intensity:
| two_theta | d [Å] | I/Imax |
| --- | --- | --- |
| 32.35 | 2.767 | 100 |
| 30.38 | 2.943 | 65 |
| 46.40 | 1.957 | 52 |
| 33.92 | 2.642 | 40 |
| 31.37 | 2.851 | 26 |
| 29.89 | 2.990 | 25 |
| 43.71 | 2.071 | 23 |
| 56.48 | 1.629 | 23 |
| 46.20 | 1.965 | 22 |
| 77.05 | 1.238 | 19 |

[7]
Diffraction record for CeSc2Se4. The X-ray powder pattern is simulated, not measured: it uses a cell relaxed with GGA-PBE and Cu Kα X-rays.

Structural model:
```
CeSc2Se4
1.0
1.9735 -6.4004 0.0000
1.9735 6.4004 0.0000
0.0000 0.0000 13.3402
Ce Sc Se
2 4 8
direct
0.1187 0.8813 0.7500
0.8813 0.1187 0.2500
0.3698 0.6302 0.5631
0.3698 0.6302 0.9369
0.6302 0.3698 0.0631
0.6302 0.3698 0.4369
0.0000 0.0000 0.0000
0.0000 0.0000 0.5000
0.2698 0.7302 0.1166
0.2698 0.7302 0.3834
0.4467 0.5533 0.7500
0.5533 0.4467 0.2500
0.7302 0.2698 0.6166
0.7302 0.2698 0.8834
```

Top 10 peaks for 2θ = 15–90°, in order of falling intensity:
| two_theta | d [Å] | I/Imax |
| --- | --- | --- |
| 31.60 | 2.831 | 100 |
| 33.73 | 2.658 | 65 |
| 30.22 | 2.958 | 59 |
| 31.07 | 2.879 | 55 |
| 41.46 | 2.178 | 35 |
| 45.99 | 1.974 | 29 |
| 47.25 | 1.924 | 25 |
| 24.37 | 3.652 | 22 |
| 44.30 | 2.045 | 20 |
| 56.02 | 1.642 | 20 |

[8]
Diffraction record for CeSm3Sc2Se6. The X-ray powder pattern is simulated, not measured: it uses a cell relaxed with GGA-PBE and Cu Kα X-rays.

Structural model:
```
CeSm3Sc2Se6
1.0
3.5214 -6.1198 0.0000
3.5214 6.1198 0.0000
-2.3789 0.0000 6.6932
Ce Sm Sc Se
1 3 2 6
direct
0.0000 0.0000 0.0000
0.1603 0.8397 0.5000
0.5000 0.5000 0.5000
0.8397 0.1603 0.5000
0.3321 0.6679 0.0000
0.6679 0.3321 0.0000
0.0787 0.4269 0.2368
0.2723 0.2723 0.7706
0.4269 0.0787 0.2368
0.5731 0.9213 0.7632
0.7277 0.7277 0.2294
0.9213 0.5731 0.7632
```

Top 10 peaks for 2θ = 15–90°, in order of falling intensity:
| two_theta | d [Å] | I/Imax |
| --- | --- | --- |
| 30.99 | 2.886 | 100 |
| 44.23 | 2.048 | 24 |
| 44.53 | 2.035 | 24 |
| 44.42 | 2.040 | 24 |
| 55.11 | 1.666 | 12 |
| 73.55 | 1.288 | 10 |
| 73.40 | 1.290 | 10 |
| 81.66 | 1.179 | 8 |
| 64.62 | 1.442 | 7 |
| 25.64 | 3.474 | 7 |

[9]
Diffraction record for CeY2ScSe6. The X-ray powder pattern is simulated, not measured: it uses a cell relaxed with GGA-PBE and Cu Kα X-rays.

Structural model:
```
CeY2ScSe6
1.0
3.5929 2.0744 6.4525
-3.5929 2.0744 6.4525
0.0000 -4.1488 6.4525
Ce Y Sc Se
1 2 1 6
direct
0.0000 0.0000 0.0000
0.1966 0.1966 0.1966
0.7022 0.7022 0.7022
0.5069 0.5069 0.5069
0.1202 0.4088 0.7778
0.3112 0.8976 0.5879
0.4088 0.7778 0.1202
0.5879 0.3112 0.8976
0.7778 0.1202 0.4088
0.8976 0.5879 0.3112
```

Top 10 peaks for 2θ = 15–90°, in order of falling intensity:
| two_theta | d [Å] | I/Imax |
| --- | --- | --- |
| 28.43 | 3.139 | 100 |
| 37.46 | 2.400 | 80 |
| 43.63 | 2.074 | 56 |
| 16.94 | 5.234 | 31 |
| 49.36 | 1.846 | 31 |
| 23.28 | 3.820 | 28 |
| 34.26 | 2.617 | 25 |
| 42.74 | 2.115 | 22 |
| 58.84 | 1.570 | 19 |
| 76.04 | 1.252 | 15 |

[10]
Diffraction record for Ce3ScSi6. The X-ray powder pattern is simulated, not measured: it uses a cell relaxed with GGA-PBE and Cu Kα X-rays.

Structural model:
```
Ce3ScSi6
1.0
5.6642 3.2702 3.7073
-5.6642 3.2702 3.7073
0.0000 -6.5405 3.7073
Ce Sc Si
6 2 12
direct
0.1869 0.7500 0.3131
0.2500 0.6869 0.8131
0.3131 0.1869 0.7500
0.6869 0.8131 0.2500
0.7500 0.3131 0.1869
0.8131 0.2500 0.6869
0.0000 0.0000 0.0000
0.5000 0.5000 0.5000
0.0174 0.0902 0.3816
0.0902 0.3816 0.0174
0.1184 0.4098 0.4826
0.3816 0.0174 0.0902
0.4098 0.4826 0.1184
0.4826 0.1184 0.4098
0.5174 0.8816 0.5902
0.5902 0.5174 0.8816
0.6184 0.9826 0.9098
0.8816 0.5902 0.5174
0.9098 0.6184 0.9826
0.9826 0.9098 0.6184
```

Top 10 peaks for 2θ = 15–90°, in order of falling intensity:
| two_theta | d [Å] | I/Imax |
| --- | --- | --- |
| 33.92 | 2.643 | 100 |
| 37.17 | 2.419 | 57 |
| 36.77 | 2.444 | 53 |
| 28.78 | 3.102 | 44 |
| 54.58 | 1.681 | 36 |
| 24.19 | 3.679 | 33 |
| 15.64 | 5.664 | 29 |
| 49.14 | 1.854 | 27 |
| 25.32 | 3.518 | 22 |
| 31.59 | 2.832 | 19 |

[11]
Diffraction record for Ce3ScSn5. The X-ray powder pattern is simulated, not measured: it uses a cell relaxed with GGA-PBE and Cu Kα X-rays.

Structural model:
```
Ce3ScSn5
1.0
9.3382 0.0000 0.0000
-4.6691 8.0871 0.0000
0.0000 0.0000 6.3389
Ce Sc Sn
6 2 10
direct
0.0000 0.3844 0.2500
0.0000 0.6156 0.7500
0.3844 0.0000 0.2500
0.3844 0.3844 0.7500
0.6156 0.0000 0.7500
0.6156 0.6156 0.2500
0.0000 0.0000 0.0000
0.0000 0.0000 0.5000
0.0000 0.2724 0.7500
0.0000 0.7276 0.2500
0.2724 0.0000 0.7500
0.2724 0.2724 0.2500
0.3333 0.6667 0.0000
0.3333 0.6667 0.5000
0.6667 0.3333 0.0000
0.6667 0.3333 0.5000
0.7276 0.0000 0.2500
0.7276 0.7276 0.7500
```

Top 10 peaks for 2θ = 15–90°, in order of falling intensity:
| two_theta | d [Å] | I/Imax |
| --- | --- | --- |
| 34.19 | 2.622 | 100 |
| 33.23 | 2.696 | 88 |
| 32.52 | 2.753 | 73 |
| 48.43 | 1.880 | 26 |
| 42.76 | 2.114 | 23 |
| 68.71 | 1.366 | 22 |
| 52.66 | 1.738 | 19 |
| 28.16 | 3.169 | 17 |
| 62.51 | 1.486 | 16 |
| 60.00 | 1.542 | 16 |

[12]
Diffraction record for Ce2ScSn2. The X-ray powder pattern is simulated, not measured: it uses a cell relaxed with GGA-PBE and Cu Kα X-rays.

Structural model:
```
Ce2ScSn2
1.0
2.5386 -8.8123 0.0000
2.5386 8.8123 0.0000
0.0000 0.0000 6.3609
Ce Sc Sn
4 2 4
direct
0.0000 0.0000 0.0000
0.0000 0.0000 0.5000
0.1985 0.8015 0.7500
0.8015 0.1985 0.2500
0.4031 0.5969 0.7500
0.5969 0.4031 0.2500
0.1770 0.8230 0.2500
0.4206 0.5794 0.2500
0.5794 0.4206 0.7500
0.8230 0.1770 0.7500
```

Top 10 peaks for 2θ = 15–90°, in order of falling intensity:
| two_theta | d [Å] | I/Imax |
| --- | --- | --- |
| 30.88 | 2.896 | 100 |
| 36.68 | 2.450 | 66 |
| 35.36 | 2.539 | 43 |
| 50.41 | 1.810 | 28 |
| 33.63 | 2.665 | 25 |
| 29.87 | 2.992 | 25 |
| 67.16 | 1.394 | 22 |
| 28.06 | 3.180 | 20 |
| 64.34 | 1.448 | 19 |
| 63.05 | 1.474 | 19 |

[13]
Diffraction record for Ce6ScSn10. The X-ray powder pattern is simulated, not measured: it uses a cell relaxed with GGA-PBE and Cu Kα X-rays.

Structural model:
```
Ce6ScSn10
1.0
9.2827 0.0000 0.0000
-4.6414 8.0391 0.0000
0.0000 0.0000 6.2756
Ce Sc Sn
6 1 10
direct
0.0000 0.3897 0.2619
0.0000 0.6103 0.7381
0.3897 0.0000 0.2619
0.3897 0.3897 0.7381
0.6103 0.0000 0.7381
0.6103 0.6103 0.2619
0.0000 0.0000 0.5000
0.0000 0.2474 0.7976
0.0000 0.7526 0.2024
0.2474 0.0000 0.7976
0.2474 0.2474 0.2024
0.3333 0.6667 0.0000
0.3333 0.6667 0.5000
0.6667 0.3333 0.0000
0.6667 0.3333 0.5000
0.7526 0.0000 0.2024
0.7526 0.7526 0.7976
```

Top 10 peaks for 2θ = 15–90°, in order of falling intensity:
| two_theta | d [Å] | I/Imax |
| --- | --- | --- |
| 32.75 | 2.735 | 100 |
| 34.50 | 2.599 | 87 |
| 33.44 | 2.680 | 60 |
| 29.40 | 3.038 | 22 |
| 48.81 | 1.866 | 20 |
| 43.05 | 2.101 | 18 |
| 53.16 | 1.723 | 17 |
| 65.20 | 1.431 | 16 |
| 28.44 | 3.138 | 14 |
| 51.66 | 1.769 | 12 |